# 1
This entry pairs a crystal structure of PmPr2Pt with its simulated X-ray powder pattern. Radiation: λ = 1.5418 Å (Cu Kα). Structure: a cell relaxed with GGA-PBE.
Peak positions follow from Bragg's law for the DFT cell and can differ from measured ones.

Largest 10 diffraction maxima, in order of rising 2θ, 10 to 80 degrees two-theta:
2theta  I (rel.)
29.3  39
29.6  56
30.2  55
30.8  100
32.1  100
33.1  67
34.4  44
36.2  50
39.5  33
46.3  35

Structural model:
a b c (Å): 7.279 10.164 6.676
angles (deg): 90.00 90.00 90.00
Fractional positions:
1 Pm 0.028 0.250 0.144
2 Pm 0.472 0.750 0.644
3 Pm 0.528 0.250 0.356
4 Pm 0.972 0.750 0.856
5 Pr 0.179 0.062 0.673
6 Pr 0.179 0.438 0.673
7 Pr 0.321 0.562 0.173
8 Pr 0.321 0.938 0.173
9 Pr 0.679 0.062 0.827
10 Pr 0.679 0.438 0.827
11 Pr 0.821 0.562 0.327
12 Pr 0.821 0.938 0.327
13 Pt 0.118 0.750 0.440
14 Pt 0.382 0.250 0.940
15 Pt 0.618 0.750 0.060
16 Pt 0.882 0.250 0.560

# 2
This entry pairs a crystal structure of Tm5Tc2 with its simulated X-ray powder pattern. Radiation: λ = 1.5418 Å (Cu Kα). Structure: a cell relaxed with GGA-PBE.
Peak positions follow from Bragg's law for the DFT cell and can differ from measured ones.

Largest 10 diffraction maxima, in order of rising 2θ, 10 to 80 degrees two-theta:
2theta  I (rel.)
28.2  49
31.5  57
32.1  100
32.6  98
34.7  58
35.0  75
36.2  62
39.0  77
51.0  50
57.0  46

Structural model:
a b c (Å): 8.337 8.337 7.498
angles (deg): 97.14 97.14 42.33
Fractional positions:
1 Tm 0.100 0.900 0.750
2 Tm 0.127 0.307 0.320
3 Tm 0.285 0.533 0.081
4 Tm 0.307 0.127 0.820
5 Tm 0.467 0.715 0.419
6 Tm 0.533 0.285 0.581
7 Tm 0.693 0.873 0.180
8 Tm 0.715 0.467 0.919
9 Tm 0.873 0.693 0.680
10 Tm 0.900 0.100 0.250
11 Tc 0.090 0.693 0.421
12 Tc 0.307 0.910 0.079
13 Tc 0.693 0.090 0.921
14 Tc 0.910 0.307 0.579

# 3
This entry pairs a crystal structure of IrPt3O8 with its simulated X-ray powder pattern. Radiation: λ = 1.5418 Å (Cu Kα). Structure: a cell relaxed with GGA-PBE.
Peak positions follow from Bragg's law for the DFT cell and can differ from measured ones.

Largest 10 diffraction maxima, in order of rising 2θ, 10 to 80 degrees two-theta:
2theta  I (rel.)
19.3  83
19.6  49
25.8  30
33.5  27
34.1  35
35.0  100
35.1  52
45.3  41
59.8  31
61.8  37

Structural model:
a b c (Å): 6.182 6.182 9.065
angles (deg): 90.00 90.00 120.00
Fractional positions:
1 Ir 0.333 0.667 0.000
2 Ir 0.667 0.333 0.500
3 Pt 0.167 0.335 0.715
4 Pt 0.167 0.833 0.715
5 Pt 0.335 0.167 0.215
6 Pt 0.665 0.833 0.715
7 Pt 0.833 0.167 0.215
8 Pt 0.833 0.665 0.215
9 O 0.000 0.000 0.324
10 O 0.000 0.000 0.824
11 O 0.048 0.524 0.848
12 O 0.163 0.326 0.099
13 O 0.163 0.837 0.099
14 O 0.326 0.163 0.599
15 O 0.333 0.667 0.606
16 O 0.476 0.524 0.848
17 O 0.476 0.952 0.848
18 O 0.524 0.048 0.348
19 O 0.524 0.476 0.348
20 O 0.667 0.333 0.106
21 O 0.674 0.837 0.099
22 O 0.837 0.163 0.599
23 O 0.837 0.674 0.599
24 O 0.952 0.476 0.348

# 4
This entry pairs a crystal structure of In2Sn2I7 with its simulated X-ray powder pattern. Radiation: λ = 1.5418 Å (Cu Kα). Structure: a cell relaxed with GGA-PBE.
Peak positions follow from Bragg's law for the DFT cell and can differ from measured ones.

Largest 10 diffraction maxima, in order of rising 2θ, 10 to 80 degrees two-theta:
2theta  I (rel.)
16.2  37
19.2  100
24.4  48
26.4  67
27.1  26
28.5  43
30.4  51
30.7  29
32.8  51
35.6  26

Structural model:
a b c (Å): 8.592 8.592 7.595
angles (deg): 94.50 94.50 85.50
Fractional positions:
1 In 0.230 0.770 0.000
2 In 0.770 0.230 0.000
3 Sn 0.261 0.261 0.527
4 Sn 0.739 0.739 0.473
5 I 0.039 0.413 0.765
6 I 0.077 0.077 0.240
7 I 0.413 0.039 0.765
8 I 0.500 0.500 0.500
9 I 0.587 0.961 0.235
10 I 0.923 0.923 0.760
11 I 0.961 0.587 0.235

# 5
This entry pairs a crystal structure of Na3TcI8 with its simulated X-ray powder pattern. Radiation: λ = 1.5418 Å (Cu Kα). Structure: a cell relaxed with GGA-PBE.
Peak positions follow from Bragg's law for the DFT cell and can differ from measured ones.

Largest 10 diffraction maxima, in order of rising 2θ, 10 to 80 degrees two-theta:
2theta  I (rel.)
13.2  23
16.6  21
23.0  79
26.6  69
27.9  56
29.2  100
36.9  24
38.6  19
40.8  66
46.1  18

Structural model:
a b c (Å): 7.505 7.505 9.733
angles (deg): 90.00 90.00 116.87
Fractional positions:
1 Na 0.000 0.000 0.000
2 Na 0.000 0.500 0.752
3 Na 0.500 0.000 0.248
4 Tc 0.000 0.000 0.500
5 I 0.215 0.785 0.500
6 I 0.244 0.245 0.703
7 I 0.245 0.244 0.297
8 I 0.246 0.754 0.000
9 I 0.754 0.246 0.000
10 I 0.755 0.756 0.297
11 I 0.756 0.755 0.703
12 I 0.785 0.215 0.500

# 6
This entry pairs a crystal structure of Zn2Ag8Au with its simulated X-ray powder pattern. Radiation: λ = 1.5418 Å (Cu Kα). Structure: a cell relaxed with GGA-PBE.
Peak positions follow from Bragg's law for the DFT cell and can differ from measured ones.

Largest 10 diffraction maxima, in order of rising 2θ, 10 to 80 degrees two-theta:
2theta  I (rel.)
37.9  100
38.0  99
43.0  35
44.5  32
44.8  31
63.9  20
65.0  19
75.4  12
75.6  13
78.0  23

Structural model:
a b c (Å): 7.699 7.699 6.619
angles (deg): 106.24 106.24 30.46
Fractional positions:
1 Zn 0.136 0.136 0.179
2 Zn 0.864 0.864 0.821
3 Ag 0.046 0.046 0.731
4 Ag 0.229 0.229 0.636
5 Ag 0.317 0.317 0.090
6 Ag 0.409 0.409 0.550
7 Ag 0.591 0.591 0.450
8 Ag 0.683 0.683 0.910
9 Ag 0.771 0.771 0.364
10 Ag 0.954 0.954 0.269
11 Au 0.500 0.500 0.000